Calculated X-ray powder pattern of DyZn11Fe for a wavelength of 1.5418 Å, from a DFT-relaxed cell (GGA-PBE, Alexandria).
Lines closer than 0.1° are merged.

Top 12 peaks for 5° ≤ 2θ ≤ 70°, by angle:
2θ (°)	Rel. int.	index
28.4	281	1 3 -1
32.0	138	0 4 1
34.7	217	2 0 -1
35.1	580	1 3 1
40.4	818	2 2 -2
40.7	835	1 5 0
40.9	1000	0 4 2
45.5	349	2 0 1
45.9	167	0 6 1
58.8	80	2 6 0
62.5	97	3 3 -3
66.3	186	3 5 -1

Crystal structure
```
data_DyZn11Fe
_symmetry_space_group_name_H-M 'C 1 2/m 1'
_symmetry_Int_Tables_number 12
_cell_length_a 5.1696
_cell_length_b 12.5070
_cell_length_c 6.7426
_cell_angle_alpha 90.00
_cell_angle_beta 112.44
_cell_angle_gamma 90.00
loop_
_symmetry_equiv_pos_as_xyz
'x,y,z'
'-x,-y,-z'
'-x,y,-z'
'x,-y,z'
'x+1/2,y+1/2,z'
'-x+1/2,-y+1/2,-z'
'-x+1/2,y+1/2,-z'
'x+1/2,-y+1/2,z'
loop_
_atom_site_label
_atom_site_fract_x
_atom_site_fract_y
_atom_site_fract_z
Dy1 0.0000 0.0000 0.0000
Zn1 0.0000 0.5000 0.5000
Zn2 0.1153 0.3918 0.2198
Zn3 0.1601 0.1722 0.3564
Zn4 0.2500 0.2500 0.0000
Fe1 0.0000 0.0000 0.5000
```

Calculated X-ray powder pattern of Dy2Zn2Fe15 for a wavelength of 1.5418 Å, from a DFT-relaxed cell (GGA-PBE, Alexandria).
Lines closer than 0.1° are merged.

Top 12 peaks for 5° ≤ 2θ ≤ 70°, by angle:
2θ (°)	Rel. int.	index
30.4	329	1 1 3
31.5	179	1 0 4
36.9	498	3 0 0
38.2	240	0 2 4
42.9	588	2 2 0
43.2	1000	3 0 3
44.1	486	0 0 6
48.5	195	2 2 3
58.8	94	3 0 6
62.5	102	4 1 3
62.6	76	2 1 7
63.2	238	2 2 6

Crystal structure
```
data_Dy2Zn2Fe15
_symmetry_space_group_name_H-M 'R -3 m'
_symmetry_Int_Tables_number 166
_symmetry_space_group_name_Hall '-R 3 2"'
_cell_length_a 8.4353
_cell_length_b 8.4353
_cell_length_c 12.3088
_cell_angle_alpha 90.00
_cell_angle_beta 90.00
_cell_angle_gamma 120.00
loop_
_atom_site_label
_atom_site_fract_x
_atom_site_fract_y
_atom_site_fract_z
Dy1 0.0000 0.0000 0.1551
Zn1 0.0000 0.0000 0.4006
Fe1 0.0000 0.3090 0.5000
Fe2 0.0000 0.5000 0.0000
Fe3 0.9997 0.4998 0.3396
```

Calculated X-ray powder pattern of Dy3Ga8 for a wavelength of 1.5418 Å, from a DFT-relaxed cell (GGA-PBE, Alexandria).
Lines closer than 0.1° are merged.

Top 12 peaks for 5° ≤ 2θ ≤ 70°, by angle:
2θ (°)	Rel. int.	index
23.4	88	0 1 3
31.0	147	1 1 2
33.0	478	1 0 7
33.4	1000	1 1 4
38.4	103	0 1 9
42.4	267	0 2 0
44.0	241	2 0 0
44.8	304	0 1 11
52.0	86	1 0 13
54.8	224	1 2 7
62.7	164	2 2 0
64.6	201	2 1 11

Crystal structure
```
data_Dy3Ga8
_symmetry_space_group_name_H-M 'I m m m'
_symmetry_Int_Tables_number 71
_symmetry_space_group_name_Hall '-I 2 2'
_cell_length_a 4.1203
_cell_length_b 4.2600
_cell_length_c 25.2840
_cell_angle_alpha 90.00
_cell_angle_beta 90.00
_cell_angle_gamma 90.00
loop_
_atom_site_label
_atom_site_fract_x
_atom_site_fract_y
_atom_site_fract_z
Dy1 0.0000 0.0000 0.0000
Dy2 0.0000 0.5000 0.1435
Ga1 0.0000 0.0000 0.2515
Ga2 0.0000 0.0000 0.4521
Ga3 0.0000 0.5000 0.3104
Ga4 0.0000 0.5000 0.4060
```

Calculated X-ray powder pattern of DyGa5 for a wavelength of 1.5418 Å, from a DFT-relaxed cell (GGA-PBE, Alexandria).
Lines closer than 0.1° are merged.

Top 12 peaks for 5° ≤ 2θ ≤ 70°, by angle:
2θ (°)	Rel. int.	index
17.5	85	0 1 1
25.4	175	1 1 0
35.4	542	0 2 2
37.2	994	1 0 3
37.4	1000	1 2 1
42.6	338	2 0 0
50.8	219	0 2 4
56.5	276	2 2 2
59.7	95	0 4 0
63.2	102	0 0 6
64.6	171	1 2 5
68.4	175	2 2 4

Crystal structure
```
data_DyGa5
_symmetry_space_group_name_H-M 'I m m m'
_symmetry_Int_Tables_number 71
_symmetry_space_group_name_Hall '-I 2 2'
_cell_length_a 4.2448
_cell_length_b 6.1947
_cell_length_c 8.8336
_cell_angle_alpha 90.00
_cell_angle_beta 90.00
_cell_angle_gamma 90.00
loop_
_atom_site_label
_atom_site_fract_x
_atom_site_fract_y
_atom_site_fract_z
Dy1 0.0000 0.0000 0.0000
Ga1 0.0000 0.2235 0.3361
Ga2 0.0000 0.5000 0.0000
```

Calculated X-ray powder pattern of DyGa5 for a wavelength of 1.5418 Å, from a DFT-relaxed cell (GGA-PBE, Alexandria).
Lines closer than 0.1° are merged.

Top 12 peaks for 5° ≤ 2θ ≤ 70°, by angle:
2θ (°)	Rel. int.	index
20.2	30	0 0 1
22.1	55	1 1 0
29.1	38	0 4 0
30.1	63	1 1 1
36.7	1000	1 3 1
41.0	186	0 0 2
42.4	174	2 0 0
44.2	139	0 6 0
60.5	119	2 0 2
60.8	33	1 7 1
61.9	100	0 6 2
63.0	95	2 6 0

Crystal structure
```
data_DyGa5
_symmetry_space_group_name_H-M 'C m m m'
_symmetry_Int_Tables_number 65
_symmetry_space_group_name_Hall '-C 2 2'
_cell_length_a 4.2601
_cell_length_b 12.2903
_cell_length_c 4.4000
_cell_angle_alpha 90.00
_cell_angle_beta 90.00
_cell_angle_gamma 90.00
loop_
_atom_site_label
_atom_site_fract_x
_atom_site_fract_y
_atom_site_fract_z
Dy1 0.0000 0.0000 0.0000
Ga1 0.0000 0.1729 0.5000
Ga2 0.0000 0.3211 0.0000
Ga3 0.0000 0.5000 0.5000
```

Calculated X-ray powder pattern of Dy3Ga11 for a wavelength of 1.5418 Å, from a DFT-relaxed cell (GGA-PBE, Alexandria).
Lines closer than 0.1° are merged.

Top 12 peaks for 5° ≤ 2θ ≤ 70°, by angle:
2θ (°)	Rel. int.	index
29.8	154	1 0 3
34.0	202	0 3 3
34.2	247	1 3 0
34.8	1000	1 2 3
35.8	95	0 4 0
37.1	101	1 3 2
42.3	222	0 0 6
42.9	262	2 0 0
55.5	99	1 3 6
55.9	98	2 3 3
61.8	141	2 0 6
63.7	108	1 6 3

Crystal structure
```
data_Dy3Ga11
_symmetry_space_group_name_H-M 'I m m m'
_symmetry_Int_Tables_number 71
_symmetry_space_group_name_Hall '-I 2 2'
_cell_length_a 4.2145
_cell_length_b 10.0286
_cell_length_c 12.8250
_cell_angle_alpha 90.00
_cell_angle_beta 90.00
_cell_angle_gamma 90.00
loop_
_atom_site_label
_atom_site_fract_x
_atom_site_fract_y
_atom_site_fract_z
Dy1 0.0000 0.0000 0.0000
Dy2 0.0000 0.0000 0.3223
Ga1 0.0000 0.2155 0.5000
Ga2 0.0000 0.2731 0.1442
Ga3 0.0000 0.3759 0.3354
Ga4 0.0000 0.5000 0.0000
```

Calculated X-ray powder pattern of Dy3Ga3Ge2 for a wavelength of 1.5418 Å, from a DFT-relaxed cell (GGA-PBE, Alexandria).
Lines closer than 0.1° are merged.

Top 12 peaks for 5° ≤ 2θ ≤ 70°, by angle:
2θ (°)	Rel. int.	index
26.0	244	1 1 2
29.1	248	1 1 3
32.5	344	0 4 0
32.8	418	1 3 0
33.0	1000	1 1 4
33.3	508	1 3 1
34.9	674	0 0 6
40.5	472	1 3 4
44.1	238	0 4 5
44.3	316	1 3 5
44.4	415	2 0 0
56.1	238	2 4 0

Crystal structure
```
data_Dy3Ga3Ge2
_symmetry_space_group_name_H-M 'C m c m'
_symmetry_Int_Tables_number 63
_symmetry_space_group_name_Hall '-C 2c 2'
_cell_length_a 4.0768
_cell_length_b 11.0224
_cell_length_c 15.4342
_cell_angle_alpha 90.00
_cell_angle_beta 90.00
_cell_angle_gamma 90.00
loop_
_atom_site_label
_atom_site_fract_x
_atom_site_fract_y
_atom_site_fract_z
Dy1 0.0000 0.0811 0.2500
Dy2 0.0000 0.3626 0.0926
Ga1 0.0000 0.0694 0.0588
Ga2 0.0000 0.1802 0.7500
Ge1 0.0000 0.3368 0.6204
```

Calculated X-ray powder pattern of Dy2Ga2Ge for a wavelength of 1.5418 Å, from a DFT-relaxed cell (GGA-PBE, Alexandria).
Lines closer than 0.1° are merged.

Top 12 peaks for 5° ≤ 2θ ≤ 70°, by angle:
2θ (°)	Rel. int.	index
25.6	180	0 0 4
29.8	167	0 1 3
32.4	1000	1 1 1
34.1	641	1 0 4
37.4	476	1 1 3
39.7	443	0 1 5
44.9	246	2 0 0
46.1	228	0 2 0
57.8	118	1 0 8
58.6	269	1 2 4
61.5	241	2 1 5
66.4	152	2 2 0

Crystal structure
```
data_Dy2Ga2Ge
_symmetry_space_group_name_H-M 'A m m 2'
_symmetry_Int_Tables_number 38
_cell_length_a 4.0339
_cell_length_b 3.9369
_cell_length_c 13.8945
_cell_angle_alpha 90.00
_cell_angle_beta 90.00
_cell_angle_gamma 90.00
loop_
_symmetry_equiv_pos_as_xyz
'x,y,z'
'-x,-y,z'
'-x,y,z'
'x,-y,z'
'x,y+1/2,z+1/2'
'-x,-y+1/2,z+1/2'
'-x,y+1/2,z+1/2'
'x,-y+1/2,z+1/2'
loop_
_atom_site_label
_atom_site_fract_x
_atom_site_fract_y
_atom_site_fract_z
Dy1 0.0000 0.0000 0.0000
Dy2 0.0000 0.0000 0.2542
Ga1 0.5000 0.0000 0.6305
Ga2 0.5000 0.0000 0.8226
Ge1 0.5000 0.0000 0.4329
```